For KNbO3, a DFT-relaxed cell (PBE, OQMD) gives the simulated powder diffraction line list in this record (Cu Kα, 1.54184 Å).
Neutral-atom scattering factors, no anomalous dispersion.

Most intense lines, 10 to 80 degrees two-theta, in order of falling intensity:
27.72 deg, intensity 100; 32.56 deg, intensity 75; 15.22 deg, intensity 64; 45.37 deg, intensity 61; 21.25 deg, intensity 43; 58.14 deg, intensity 36; 19.32 deg, intensity 32; 43.28 deg, intensity 32

Structure:
a = 5.4997 Å, b = 5.4997 Å, c = 17.4646 Å
α = 90.00°, β = 90.00°, γ = 120.00°
Space group R-3 (No. 148, hexagonal axes)
Inequivalent atoms, fractional coordinates:
1 K 0.0000 0.0000 0.1381 (multiplicity 6)
2 Nb 0.0000 0.0000 0.3465 (multiplicity 6)
3 O 0.0083 0.4261 0.9327 (multiplicity 18)